[1]
Calculated powder diffractogram
Compound: Sm7MnI12
Radiation: Cu Kα (weighted mean of Kα1 and Kα2)
Structure: a crystal structure in Alexandria, relaxed with PBE

Cell and atoms:
a b c (Å): 15.9559 15.9559 11.0831
angles (deg): 90.00 90.00 120.00
Space group R-3 (No. 148, hexagonal axes)
Unique sites:
Sm 0.0000 0.0000 0.0000
Sm 0.0427 0.8863 0.3634
Mn 0.0000 0.0000 0.5000
I 0.0220 0.4348 0.1608
I 0.0491 0.8728 0.8356

Top 10 peaks for 10° ≤ 2θ ≤ 90°, sorted by position:
(1 0 1), 2θ 10.2, d 8.646, intensity 9
(1 1 0), 2θ 11.1, d 7.978, intensity 25
(1 3 1), 2θ 24.6, d 3.622, intensity 13
(4 -1 2), 2θ 28.3, d 3.152, intensity 100
(1 3 4), 2θ 40.2, d 2.245, intensity 34
(5 2 0), 2θ 40.8, d 2.213, intensity 35
(2 6 2), 2θ 50.4, d 1.811, intensity 17
(8 -2 4), 2θ 58.6, d 1.576, intensity 17
(5 2 6), 2θ 65.9, d 1.418, intensity 12
(9 1 2), 2θ 66.7, d 1.401, intensity 13

***

[2]
Calculated powder diffractogram
Compound: Mn3SnI9
Radiation: Cu Kα (weighted mean of Kα1 and Kα2)
Structure: a crystal structure in Alexandria, relaxed with PBE

Cell and atoms:
a b c (Å): 20.451 10.350 14.632
angles (deg): 90.00 128.74 90.00
Space group Cc (No. 9)
Unique sites:
Mn 0.000 0.067 0.000
Mn 0.093 0.382 0.889
Mn 0.371 0.076 0.546
Sn 0.231 0.277 0.714
I 0.077 0.123 0.657
I 0.086 0.445 0.516
I 0.121 0.148 0.990
I 0.224 0.420 0.895
I 0.241 0.187 0.516
I 0.332 0.022 0.851
I 0.368 0.492 0.787
I 0.431 0.130 0.193
I 0.490 0.258 0.631

Top 10 peaks for 10° ≤ 2θ ≤ 90°, sorted by position:
(1 1 1), 2θ 14.8, d 5.996, intensity 66
(0 2 2), 2θ 23.2, d 3.833, intensity 30
(5 1 -2), 2θ 23.5, d 3.792, intensity 59
(5 1 -3), 2θ 24.1, d 3.692, intensity 29
(2 0 2), 2θ 24.2, d 3.674, intensity 60
(2 2 -3), 2θ 25.3, d 3.519, intensity 100
(3 1 -4), 2θ 26.0, d 3.429, intensity 46
(4 2 0), 2θ 28.3, d 3.159, intensity 33
(7 1 -5), 2θ 35.1, d 2.555, intensity 25
(1 1 -6), 2θ 45.2, d 2.006, intensity 24

***

[3]
Calculated powder diffractogram
Compound: MnSn3I8
Radiation: Cu Kα (weighted mean of Kα1 and Kα2)
Structure: a crystal structure in Alexandria, relaxed with PBE

Cell and atoms:
a b c (Å): 9.1154 9.1154 14.0035
angles (deg): 90.00 90.00 120.00
Space group P6_3mc (No. 186)
Unique sites:
Mn 0.3333 0.6667 0.0000
Sn 0.1684 0.3368 0.7393
I 0.0000 0.0000 0.3691
I 0.0308 0.5154 0.8807
I 0.1793 0.3586 0.1167
I 0.3333 0.6667 0.6076

Top 10 peaks for 10° ≤ 2θ ≤ 90°, sorted by position:
(1 0 1), 2θ 12.9, d 6.877, intensity 20
(2 0 1), 2θ 23.4, d 3.799, intensity 14
(2 0 2), 2θ 25.9, d 3.438, intensity 100
(2 0 3), 2θ 29.6, d 3.014, intensity 59
(2 0 4), 2θ 34.2, d 2.619, intensity 17
(2 2 0), 2θ 39.5, d 2.281, intensity 79
(2 0 6), 2θ 45.1, d 2.009, intensity 16
(4 0 2), 2θ 47.9, d 1.900, intensity 16
(2 2 8), 2θ 67.5, d 1.388, intensity 18
(6 0 0), 2θ 71.7, d 1.316, intensity 16

***

[4]
Calculated powder diffractogram
Compound: Mn5SnI12
Radiation: Cu Kα (weighted mean of Kα1 and Kα2)
Structure: a crystal structure in Alexandria, relaxed with PBE

Cell and atoms:
a b c (Å): 7.326 12.704 15.290
angles (deg): 90.00 90.10 90.00
Space group C2/m (No. 12)
Unique sites:
Mn 0.000 0.000 0.000
Mn 0.000 0.167 0.500
Mn 0.000 0.334 0.000
Sn 0.000 0.500 0.500
I 0.140 0.000 0.613
I 0.166 0.167 0.894
I 0.166 0.500 0.894
I 0.180 0.320 0.613

Top 10 peaks for 10° ≤ 2θ ≤ 90°, sorted by position:
(0 0 2), 2θ 11.6, d 7.645, intensity 55
(0 0 4), 2θ 23.3, d 3.822, intensity 22
(2 0 -1), 2θ 25.0, d 3.563, intensity 27
(1 3 2), 2θ 27.0, d 3.306, intensity 100
(2 0 -3), 2θ 30.0, d 2.976, intensity 57
(2 0 4), 2θ 33.9, d 2.645, intensity 28
(1 3 -5), 2θ 38.3, d 2.348, intensity 32
(0 6 0), 2θ 42.7, d 2.117, intensity 15
(3 3 -1), 2θ 43.2, d 2.095, intensity 60
(2 6 -3), 2θ 53.1, d 1.725, intensity 16

***

[5]
Calculated powder diffractogram
Compound: Mn2Tl4I9
Radiation: Cu Kα (weighted mean of Kα1 and Kα2)
Structure: a crystal structure in Alexandria, relaxed with PBE

Cell and atoms:
a b c (Å): 8.147 8.355 22.462
angles (deg): 89.52 89.99 60.83
Space group P-1 (No. 2)
Unique sites:
Mn 0.061 0.071 0.360
Mn 0.132 0.929 0.140
Tl 0.258 0.291 0.682
Tl 0.291 0.362 0.943
Tl 0.346 0.363 0.444
Tl 0.451 0.291 0.182
I 0.019 0.175 0.586
I 0.058 0.000 0.750
I 0.126 0.629 0.091
I 0.171 0.299 0.303
I 0.194 0.825 0.914
I 0.246 0.628 0.591
I 0.320 0.069 0.075
I 0.388 0.932 0.425
I 0.470 0.701 0.197

Top 10 peaks for 10° ≤ 2θ ≤ 90°, sorted by position:
(1 1 3), 2θ 17.2, d 5.160, intensity 100
(1 0 -4), 2θ 20.1, d 4.419, intensity 78
(1 -1 0), 2θ 21.3, d 4.176, intensity 83
(1 2 3), 2θ 24.3, d 3.658, intensity 80
(0 2 -2), 2θ 25.8, d 3.460, intensity 56
(2 2 3), 2θ 27.7, d 3.217, intensity 64
(0 2 -4), 2θ 29.3, d 3.046, intensity 61
(2 0 -4), 2θ 29.6, d 3.013, intensity 86
(2 0 5), 2θ 32.2, d 2.782, intensity 92
(1 2 -8), 2θ 38.8, d 2.321, intensity 56

***

[6]
Calculated powder diffractogram
Compound: MnTl3I7
Radiation: Cu Kα (weighted mean of Kα1 and Kα2)
Structure: a crystal structure in Alexandria, relaxed with PBE

Cell and atoms:
a b c (Å): 13.347 10.412 8.231
angles (deg): 90.00 121.58 90.00
Space group Cm (No. 8)
Unique sites:
Mn 0.000 0.000 0.000
Tl 0.008 0.500 0.937
Tl 0.038 0.200 0.504
I 0.023 0.500 0.526
I 0.150 0.184 0.224
I 0.218 0.000 0.825
I 0.355 0.500 0.155
I 0.384 0.320 0.732

Top 10 peaks for 10° ≤ 2θ ≤ 90°, sorted by position:
(2 0 0), 2θ 15.6, d 5.685, intensity 59
(0 2 1), 2θ 21.3, d 4.180, intensity 61
(2 0 -2), 2θ 21.7, d 4.091, intensity 52
(1 1 -2), 2θ 23.9, d 3.726, intensity 36
(3 1 0), 2θ 25.0, d 3.562, intensity 39
(1 3 0), 2θ 26.9, d 3.319, intensity 69
(4 0 -2), 2θ 28.2, d 3.162, intensity 100
(2 2 1), 2θ 30.2, d 2.956, intensity 54
(1 3 1), 2θ 31.5, d 2.837, intensity 62
(2 2 -3), 2θ 37.3, d 2.410, intensity 43

***

[7]
Calculated powder diffractogram
Compound: Mn2TlI6
Radiation: Cu Kα (weighted mean of Kα1 and Kα2)
Structure: a crystal structure in Alexandria, relaxed with PBE

Cell and atoms:
a b c (Å): 15.534 14.429 7.503
angles (deg): 90.00 102.75 90.00
Space group C2/c (No. 15)
Unique sites:
Mn 0.201 0.077 0.259
Tl 0.000 0.378 0.250
I 0.122 0.217 0.072
I 0.127 0.415 0.694
I 0.143 0.080 0.571

Top 10 peaks for 10° ≤ 2θ ≤ 90°, sorted by position:
(3 1 0), 2θ 18.6, d 4.767, intensity 43
(2 2 -1), 2θ 19.3, d 4.595, intensity 26
(2 2 1), 2θ 22.4, d 3.976, intensity 24
(4 0 0), 2θ 23.5, d 3.778, intensity 100
(2 0 -2), 2θ 24.5, d 3.627, intensity 59
(3 3 -1), 2θ 26.6, d 3.349, intensity 93
(4 2 -1), 2θ 27.0, d 3.302, intensity 52
(2 0 2), 2θ 29.4, d 3.042, intensity 36
(5 3 1), 2θ 39.3, d 2.290, intensity 61
(5 7 -2), 2θ 56.7, d 1.624, intensity 24

***

[8]
Calculated powder diffractogram
Compound: MnTlI4
Radiation: Cu Kα (weighted mean of Kα1 and Kα2)
Structure: a crystal structure in Alexandria, relaxed with PBE

Cell and atoms:
a b c (Å): 11.765 11.765 8.645
angles (deg): 90.00 90.00 90.00
Space group I4_1/amd (No. 141, origin choice 2)
Unique sites:
Mn 0.000 0.250 0.375
Tl 0.000 0.250 0.875
I 0.000 0.071 0.199

Top 10 peaks for 10° ≤ 2θ ≤ 90°, sorted by position:
(2 0 0), 2θ 15.1, d 5.882, intensity 100
(3 0 1), 2θ 24.9, d 3.571, intensity 85
(2 0 2), 2θ 25.6, d 3.483, intensity 50
(3 2 1), 2θ 29.3, d 3.053, intensity 53
(4 0 0), 2θ 30.4, d 2.941, intensity 31
(3 1 2), 2θ 31.7, d 2.820, intensity 61
(1 0 3), 2θ 32.0, d 2.799, intensity 36
(3 3 2), 2θ 38.6, d 2.334, intensity 48
(4 3 1), 2θ 39.7, d 2.270, intensity 29
(6 0 0), 2θ 46.3, d 1.961, intensity 25

***

[9]
Calculated powder diffractogram
Compound: TmMnI6
Radiation: Cu Kα (weighted mean of Kα1 and Kα2)
Structure: a crystal structure in Alexandria, relaxed with PBE

Cell and atoms:
a b c (Å): 7.318 13.692 7.328
angles (deg): 90.00 111.09 90.00
Space group C2/m (No. 12)
Unique sites:
Tm 0.000 0.000 0.000
Mn 0.000 0.500 0.500
I 0.224 0.355 0.727
I 0.242 0.000 0.754

Top 10 peaks for 10° ≤ 2θ ≤ 90°, sorted by position:
(0 2 0), 2θ 12.9, d 6.846, intensity 49
(1 1 -1), 2θ 16.0, d 5.525, intensity 38
(1 3 -1), 2θ 24.4, d 3.641, intensity 42
(0 0 2), 2θ 26.1, d 3.416, intensity 39
(1 3 1), 2θ 29.1, d 3.067, intensity 100
(2 0 -2), 2θ 29.6, d 3.019, intensity 52
(0 4 2), 2θ 37.2, d 2.418, intensity 18
(0 6 0), 2θ 39.5, d 2.283, intensity 32
(1 3 -3), 2θ 42.0, d 2.152, intensity 69
(2 6 -2), 2θ 50.1, d 1.821, intensity 31

***

[10]
Calculated powder diffractogram
Compound: TmMnI
Radiation: Cu Kα (weighted mean of Kα1 and Kα2)
Structure: a crystal structure in Alexandria, relaxed with PBE

Cell and atoms:
a b c (Å): 3.8614 3.8614 38.0069
angles (deg): 90.00 90.00 120.00
Space group R-3m (No. 166, hexagonal axes)
Unique sites:
Tm 0.0000 0.0000 0.0531
Mn 0.0000 0.0000 0.3348
I 0.0000 0.0000 0.2236

Top 10 peaks for 10° ≤ 2θ ≤ 90°, sorted by position:
(0 0 6), 2θ 14.0, d 6.334, intensity 22
(1 0 1), 2θ 26.8, d 3.331, intensity 49
(1 0 4), 2θ 28.3, d 3.154, intensity 22
(1 0 7), 2θ 31.4, d 2.847, intensity 100
(0 1 8), 2θ 32.7, d 2.735, intensity 27
(1 0 10), 2θ 35.8, d 2.511, intensity 36
(0 1 11), 2θ 37.4, d 2.403, intensity 75
(0 0 18), 2θ 42.8, d 2.111, intensity 26
(1 1 0), 2θ 47.1, d 1.931, intensity 57
(1 1 18), 2θ 65.5, d 1.425, intensity 40

***

[11]
Calculated powder diffractogram
Compound: MnZnI4
Radiation: Cu Kα (weighted mean of Kα1 and Kα2)
Structure: a crystal structure in Alexandria, relaxed with PBE

Cell and atoms:
a b c (Å): 7.982 7.982 10.263
angles (deg): 90.00 90.00 90.00
Space group P4_2/mmc (No. 131)
Unique sites:
Mn 0.000 0.000 0.000
Zn 0.000 0.500 0.000
I 0.238 0.253 0.000

Top 10 peaks for 10° ≤ 2θ ≤ 90°, sorted by position:
(0 0 2), 2θ 17.3, d 5.131, intensity 100
(2 0 0), 2θ 22.3, d 3.991, intensity 38
(2 0 2), 2θ 28.3, d 3.150, intensity 44
(2 2 0), 2θ 31.7, d 2.822, intensity 43
(0 0 4), 2θ 35.0, d 2.566, intensity 17
(2 2 2), 2θ 36.3, d 2.473, intensity 61
(4 0 0), 2θ 45.5, d 1.995, intensity 15
(2 2 4), 2θ 47.9, d 1.898, intensity 27
(4 0 2), 2θ 49.0, d 1.860, intensity 27
(4 0 4), 2θ 58.6, d 1.575, intensity 15

***

[12]
Calculated powder diffractogram
Compound: MnZn2I6
Radiation: Cu Kα (weighted mean of Kα1 and Kα2)
Structure: a crystal structure in Alexandria, relaxed with PBE

Cell and atoms:
a b c (Å): 4.154 8.846 10.658
angles (deg): 73.61 81.07 79.41
Space group P-1 (No. 2)
Unique sites:
Mn 0.000 0.000 0.000
Zn 0.467 0.427 0.665
I 0.076 0.633 0.170
I 0.402 0.726 0.520
I 0.406 0.083 0.154

Top 10 peaks for 10° ≤ 2θ ≤ 90°, sorted by position:
(0 1 1), 2θ 11.8, d 7.506, intensity 73
(0 2 2), 2θ 23.7, d 3.753, intensity 61
(1 0 -1), 2θ 24.5, d 3.634, intensity 40
(0 2 -1), 2θ 25.0, d 3.564, intensity 100
(1 1 2), 2θ 25.5, d 3.491, intensity 40
(0 0 3), 2θ 26.3, d 3.386, intensity 71
(-1 1 3), 2θ 36.9, d 2.438, intensity 34
(1 2 -2), 2θ 37.5, d 2.400, intensity 29
(1 2 4), 2θ 38.7, d 2.326, intensity 29
(2 1 1), 2θ 43.7, d 2.073, intensity 39